Li3Bi2P3O12: theoretical PXRD pattern (Cu Kα X-rays), based on the GGA-PBE geometry in the Materials Project.
Peak positions follow from Bragg's law for the DFT cell and can differ from measured ones.

```
Li3Bi2P3O12
1.0
7.668 -4.759 0.000
7.668 4.759 0.000
-4.695 0.000 7.534
Li Bi P O
6 4 6 24
Direct
0.000 0.500 0.500 Li
0.166 0.222 0.116 Li
0.222 0.166 0.616 Li
0.500 0.000 0.000 Li
0.778 0.834 0.384 Li
0.834 0.778 0.884 Li
0.169 0.641 0.352 Bi
0.359 0.831 0.148 Bi
0.641 0.169 0.852 Bi
0.831 0.359 0.648 Bi
0.060 0.940 0.750 P
0.243 0.401 0.936 P
0.401 0.243 0.436 P
0.599 0.757 0.564 P
0.757 0.599 0.064 P
0.940 0.060 0.250 P
0.029 0.091 0.690 O
0.068 0.764 0.593 O
0.091 0.029 0.190 O
0.102 0.400 0.749 O
0.174 0.406 0.069 O
0.220 0.389 0.402 O
0.236 0.932 0.907 O
0.310 0.556 0.005 O
0.389 0.220 0.902 O
0.400 0.102 0.249 O
0.406 0.174 0.569 O
0.444 0.690 0.495 O
0.556 0.310 0.505 O
0.594 0.826 0.431 O
0.600 0.898 0.751 O
0.611 0.780 0.098 O
0.690 0.444 0.995 O
0.764 0.068 0.093 O
0.780 0.611 0.598 O
0.826 0.594 0.931 O
0.898 0.600 0.251 O
0.909 0.971 0.810 O
0.932 0.236 0.407 O
0.971 0.909 0.310 O
```

Principal peaks in the range 2θ from 5° to 70°, by intensity:
two_theta, I (rel.)
18.9, 100
19.7, 78
31.3, 62
32.7, 46
27.5, 43
33.2, 38